La3ZnCl3: calculated powder X-ray diffraction pattern (a wavelength of 1.5418 Å), based on a structure optimized by DFT (PBE).
Lines closer than 0.1° are merged.

Structural model:
a b c (Å): 5.943 5.943 5.943
angles (deg): 90.00 90.00 90.00
Space group Pm-3m (No. 221)
Asymmetric unit:
La (0.000, 0.000, 0.500) [3 per cell]
Zn (0.000, 0.000, 0.000) [1 per cell]
Cl (0.000, 0.500, 0.500) [3 per cell]

Peak list (8 most intense, 10° ≤ 2θ ≤ 90°, sorted by position)
- hkl 1 0 0, d = 5.943 Å, 14.91°, rel. 43.9
- hkl 1 1 1, d = 3.431 Å, 25.97°, rel. 28.2
- hkl 2 0 0, d = 2.972 Å, 30.07°, rel. 100.0
- hkl 2 1 0, d = 2.658 Å, 33.72°, rel. 25.1
- hkl 2 2 0, d = 2.101 Å, 43.05°, rel. 72.8
- hkl 2 2 2, d = 1.716 Å, 53.40°, rel. 25.2
- hkl 4 2 0, d = 1.329 Å, 70.91°, rel. 31.6
- hkl 4 2 2, d = 1.213 Å, 78.91°, rel. 23.5